Pr2AlBPt6: simulated powder XRD pattern (λ = 1.5418 Å (Cu Kα)), based on a crystal structure in Alexandria, relaxed with PBE.

Structural model:
```
Pr2AlBPt6
1.0
-2.9407 2.9407 5.2968
2.9407 -2.9407 5.2968
2.9407 2.9407 -5.2968
Pr Al B Pt
2 1 1 6
Direct
0.0000 0.5000 0.5000
0.5000 0.0000 0.5000
0.3500 0.3500 0.0000
0.8588 0.8588 0.0000
0.0593 0.0593 0.0000
0.5153 0.5153 0.5257
0.5153 0.9895 0.0000
0.5698 0.5698 0.0000
0.9895 0.5153 0.0000
0.9895 0.9895 0.4743
```

Largest 10 diffraction maxima, by angle, 10 to 80 degrees two-theta:
| 2θ/deg | d [Å] | I/Imax |
| --- | --- | --- |
| 16.7 | 5.297 | 8 |
| 33.8 | 2.648 | 19 |
| 34.9 | 2.571 | 100 |
| 40.4 | 2.234 | 10 |
| 43.5 | 2.079 | 33 |
| 46.1 | 1.968 | 11 |
| 56.2 | 1.635 | 17 |
| 61.2 | 1.514 | 8 |
| 63.2 | 1.470 | 11 |
| 74.3 | 1.276 | 22 |



Pr2AlB2Ru5: simulated powder XRD pattern (λ = 1.5418 Å (Cu Kα)), based on a crystal structure in Alexandria, relaxed with PBE.

Structural model:
```
Pr2AlB2Ru5
1.0
9.7702 0.0000 0.0000
0.0000 9.7702 0.0000
0.0000 0.0000 3.1640
Pr Al B Ru
4 2 4 10
Direct
0.1769 0.3231 0.0000
0.3231 0.8231 0.0000
0.6769 0.1769 0.0000
0.8231 0.6769 0.0000
0.0000 0.0000 0.0000
0.5000 0.5000 0.0000
0.1227 0.6227 0.0000
0.3773 0.1227 0.0000
0.6227 0.8773 0.0000
0.8773 0.3773 0.0000
0.0000 0.5000 0.5000
0.0682 0.7795 0.5000
0.2205 0.0682 0.5000
0.2795 0.5682 0.5000
0.4318 0.2795 0.5000
0.5000 0.0000 0.5000
0.5682 0.7205 0.5000
0.7205 0.4318 0.5000
0.7795 0.9318 0.5000
0.9318 0.2205 0.5000
```

Largest 10 diffraction maxima, by angle, 10 to 80 degrees two-theta:
| 2θ/deg | d [Å] | I/Imax |
| --- | --- | --- |
| 33.8 | 2.656 | 20 |
| 35.0 | 2.563 | 96 |
| 38.0 | 2.370 | 100 |
| 38.6 | 2.333 | 29 |
| 39.1 | 2.303 | 32 |
| 40.8 | 2.211 | 78 |
| 41.3 | 2.185 | 28 |
| 44.0 | 2.058 | 34 |
| 68.2 | 1.374 | 24 |
| 71.7 | 1.316 | 30 |



Sr2AlBPt6: simulated powder XRD pattern (λ = 1.5418 Å (Cu Kα)), based on a crystal structure in Alexandria, relaxed with PBE.

Structural model:
```
Sr2AlBPt6
1.0
5.0629 -2.9306 0.0000
5.0629 2.9306 0.0000
-3.3658 0.0000 6.3751
Sr Al B Pt
2 1 1 6
Direct
0.2134 0.2134 0.1403
0.7866 0.7866 0.8597
0.5000 0.5000 0.0000
0.0000 0.0000 0.5000
0.2376 0.2376 0.6822
0.2379 0.7053 0.6808
0.2947 0.7621 0.3192
0.7053 0.2379 0.6808
0.7621 0.2947 0.3192
0.7624 0.7624 0.3178
```

Largest 10 diffraction maxima, by angle, 10 to 80 degrees two-theta:
| 2θ/deg | d [Å] | I/Imax |
| --- | --- | --- |
| 13.9 | 6.375 | 28 |
| 19.8 | 4.479 | 15 |
| 28.0 | 3.188 | 26 |
| 29.2 | 3.053 | 28 |
| 36.7 | 2.450 | 100 |
| 37.4 | 2.405 | 14 |
| 40.3 | 2.239 | 63 |
| 42.5 | 2.125 | 14 |
| 49.0 | 1.858 | 18 |
| 63.6 | 1.462 | 16 |



Y2AlBPt6: simulated powder XRD pattern (λ = 1.5418 Å (Cu Kα)), based on a crystal structure in Alexandria, relaxed with PBE.

Structural model:
```
Y2AlBPt6
1.0
5.6806 0.0000 0.0000
0.0000 8.6337 0.0000
0.0000 0.0000 7.3017
Y Al B Pt
4 2 2 12
Direct
0.2500 0.0357 0.2100
0.2500 0.4643 0.2100
0.7500 0.5357 0.7900
0.7500 0.9643 0.7900
0.2500 0.7500 0.8209
0.7500 0.2500 0.1791
0.2500 0.2500 0.6902
0.7500 0.7500 0.3098
0.0010 0.2500 0.9052
0.0097 0.7500 0.5175
0.2500 0.0052 0.6472
0.2500 0.4948 0.6472
0.4903 0.7500 0.5175
0.4990 0.2500 0.9052
0.5010 0.7500 0.0948
0.5097 0.2500 0.4825
0.7500 0.5052 0.3528
0.7500 0.9948 0.3528
0.9903 0.2500 0.4825
0.9990 0.7500 0.0948
```

Largest 10 diffraction maxima, by angle, 10 to 80 degrees two-theta:
| 2θ/deg | d [Å] | I/Imax |
| --- | --- | --- |
| 12.1 | 7.302 | 27 |
| 29.1 | 3.071 | 24 |
| 32.1 | 2.788 | 53 |
| 35.9 | 2.503 | 30 |
| 37.9 | 2.373 | 100 |
| 40.2 | 2.241 | 37 |
| 41.6 | 2.170 | 24 |
| 41.9 | 2.158 | 39 |
| 42.6 | 2.120 | 23 |
| 59.4 | 1.555 | 24 |



Al2Re3B: simulated powder XRD pattern (λ = 1.5418 Å (Cu Kα)), based on a crystal structure in Alexandria, relaxed with PBE.

Structural model:
```
Al2Re3B
1.0
0.0000 5.3774 5.3774
5.3774 0.0000 5.3774
5.3774 5.3774 0.0000
Al Re B
8 12 4
Direct
0.1323 0.7892 0.7892
0.2108 0.2108 0.2108
0.2108 0.2108 0.8677
0.2108 0.8677 0.2108
0.7892 0.1323 0.7892
0.7892 0.7892 0.1323
0.7892 0.7892 0.7892
0.8677 0.2108 0.2108
0.1834 0.1834 0.5666
0.1834 0.5666 0.1834
0.1834 0.5666 0.5666
0.4334 0.4334 0.8166
0.4334 0.8166 0.4334
0.4334 0.8166 0.8166
0.5666 0.1834 0.1834
0.5666 0.1834 0.5666
0.5666 0.5666 0.1834
0.8166 0.4334 0.4334
0.8166 0.4334 0.8166
0.8166 0.8166 0.4334
0.0000 0.0000 0.0000
0.0000 0.0000 0.5000
0.0000 0.5000 0.0000
0.5000 0.0000 0.0000
```

Largest 10 diffraction maxima, by angle, 10 to 80 degrees two-theta:
| 2θ/deg | d [Å] | I/Imax |
| --- | --- | --- |
| 14.3 | 6.209 | 61 |
| 33.3 | 2.689 | 57 |
| 36.4 | 2.467 | 43 |
| 41.1 | 2.195 | 72 |
| 43.7 | 2.070 | 100 |
| 47.8 | 1.901 | 21 |
| 61.6 | 1.506 | 25 |
| 66.8 | 1.400 | 16 |
| 71.9 | 1.314 | 17 |
| 74.9 | 1.267 | 58 |



Tb2AlBRh6: simulated powder XRD pattern (λ = 1.5418 Å (Cu Kα)), based on a crystal structure in Alexandria, relaxed with PBE.

Structural model:
```
Tb2AlBRh6
1.0
-3.0846 3.0901 4.3647
3.0846 -3.0901 4.3647
3.0846 3.0901 -4.3647
Tb Al B Rh
2 1 1 6
Direct
0.2500 0.2500 0.0000
0.7500 0.7500 0.0000
0.5000 0.0000 0.5000
0.0000 0.5000 0.5000
0.2346 0.2654 0.4999
0.2345 0.7345 0.5000
0.2346 0.7346 0.9692
0.7654 0.2654 0.0308
0.7655 0.2655 0.5000
0.7654 0.7346 0.5001
```

Largest 10 diffraction maxima, by angle, 10 to 80 degrees two-theta:
| 2θ/deg | d [Å] | I/Imax |
| --- | --- | --- |
| 28.9 | 3.087 | 7 |
| 35.6 | 2.521 | 100 |
| 41.4 | 2.183 | 57 |
| 45.3 | 2.003 | 3 |
| 54.6 | 1.680 | 3 |
| 59.9 | 1.544 | 30 |
| 60.0 | 1.542 | 6 |
| 71.7 | 1.316 | 36 |
| 75.4 | 1.261 | 6 |
| 75.5 | 1.260 | 6 |



Al3B2Ru4: simulated powder XRD pattern (λ = 1.5418 Å (Cu Kα)), based on a crystal structure in Alexandria, relaxed with PBE.

Structural model:
```
Al3B2Ru4
1.0
8.5506 0.0000 0.0000
0.0000 8.5506 0.0000
0.0000 0.0000 2.9438
Al B Ru
6 4 8
Direct
0.0000 0.0000 0.0000
0.0000 0.3464 0.0000
0.0000 0.6536 0.0000
0.3464 0.0000 0.0000
0.5000 0.5000 0.0000
0.6536 0.0000 0.0000
0.3062 0.3062 0.0000
0.3062 0.6938 0.0000
0.6938 0.3062 0.0000
0.6938 0.6938 0.0000
0.1763 0.1763 0.5000
0.1763 0.8237 0.5000
0.2438 0.5000 0.5000
0.5000 0.2438 0.5000
0.5000 0.7562 0.5000
0.7562 0.5000 0.5000
0.8237 0.1763 0.5000
0.8237 0.8237 0.5000
```

Largest 10 diffraction maxima, by angle, 10 to 80 degrees two-theta:
| 2θ/deg | d [Å] | I/Imax |
| --- | --- | --- |
| 20.8 | 4.275 | 22 |
| 30.4 | 2.944 | 48 |
| 31.4 | 2.850 | 56 |
| 37.1 | 2.425 | 28 |
| 37.9 | 2.372 | 51 |
| 43.6 | 2.074 | 18 |
| 44.2 | 2.048 | 100 |
| 45.0 | 2.015 | 32 |
| 49.3 | 1.847 | 41 |
| 77.7 | 1.229 | 31 |



Al2BS4: simulated powder XRD pattern (λ = 1.5418 Å (Cu Kα)), based on a crystal structure in Alexandria, relaxed with PBE.

Structural model:
```
Al2BS4
1.0
5.6859 0.0000 0.0000
0.0000 5.6859 0.0000
0.0000 0.0000 8.3850
Al B S
4 2 8
Direct
0.0000 0.5000 0.2500
0.0000 0.5000 0.7500
0.5000 0.0000 0.2500
0.5000 0.0000 0.7500
0.0000 0.0000 0.0000
0.5000 0.5000 0.5000
0.2113 0.2113 0.1126
0.2113 0.7887 0.8874
0.2887 0.2887 0.6126
0.2887 0.7113 0.3874
0.7113 0.2887 0.3874
0.7113 0.7113 0.6126
0.7887 0.2113 0.8874
0.7887 0.7887 0.1126
```

Largest 10 diffraction maxima, by angle, 10 to 80 degrees two-theta:
| 2θ/deg | d [Å] | I/Imax |
| --- | --- | --- |
| 18.9 | 4.706 | 23 |
| 22.1 | 4.021 | 9 |
| 30.8 | 2.902 | 100 |
| 31.5 | 2.843 | 7 |
| 36.9 | 2.433 | 10 |
| 38.3 | 2.353 | 11 |
| 45.1 | 2.010 | 22 |
| 48.4 | 1.881 | 8 |
| 54.4 | 1.687 | 27 |
| 55.6 | 1.652 | 20 |



Al2SnB: simulated powder XRD pattern (λ = 1.5418 Å (Cu Kα)), based on a crystal structure in Alexandria, relaxed with PBE.

Structural model:
```
Al2SnB
1.0
6.0758 0.0000 0.0000
0.0000 6.0758 0.0000
0.0000 0.0000 9.0515
Al Sn B
8 4 4
Direct
0.1310 0.2500 0.1250
0.2500 0.6310 0.3750
0.2500 0.8690 0.8750
0.3690 0.2500 0.6250
0.6310 0.7500 0.6250
0.7500 0.1310 0.8750
0.7500 0.3690 0.3750
0.8690 0.7500 0.1250
0.0000 0.0000 0.5000
0.0000 0.5000 0.7500
0.5000 0.0000 0.2500
0.5000 0.5000 0.0000
0.0000 0.0000 0.0000
0.0000 0.5000 0.2500
0.5000 0.0000 0.7500
0.5000 0.5000 0.5000
```

Largest 10 diffraction maxima, by angle, 10 to 80 degrees two-theta:
| 2θ/deg | d [Å] | I/Imax |
| --- | --- | --- |
| 17.6 | 5.045 | 59 |
| 28.6 | 3.116 | 100 |
| 29.4 | 3.038 | 25 |
| 33.2 | 2.702 | 36 |
| 34.5 | 2.602 | 70 |
| 42.1 | 2.148 | 17 |
| 44.9 | 2.019 | 15 |
| 45.9 | 1.976 | 16 |
| 50.3 | 1.815 | 29 |
| 51.7 | 1.769 | 36 |



SrAlB12: simulated powder XRD pattern (λ = 1.5418 Å (Cu Kα)), based on a crystal structure in Alexandria, relaxed with PBE.

Structural model:
```
SrAlB12
1.0
4.1804 0.0000 0.0000
0.0000 4.1804 0.0000
0.0000 0.0000 8.3676
Sr Al B
1 1 12
Direct
0.0000 0.0000 0.0000
0.0000 0.0000 0.5000
0.2009 0.5000 0.2512
0.2009 0.5000 0.7488
0.5000 0.2009 0.2512
0.5000 0.2009 0.7488
0.5000 0.5000 0.1006
0.5000 0.5000 0.4000
0.5000 0.5000 0.6000
0.5000 0.5000 0.8994
0.5000 0.7991 0.2512
0.5000 0.7991 0.7488
0.7991 0.5000 0.2512
0.7991 0.5000 0.7488
```

Largest 10 diffraction maxima, by angle, 10 to 80 degrees two-theta:
| 2θ/deg | d [Å] | I/Imax |
| --- | --- | --- |
| 10.6 | 8.368 | 39 |
| 21.2 | 4.182 | 18 |
| 23.8 | 3.740 | 27 |
| 30.2 | 2.957 | 100 |
| 32.1 | 2.788 | 16 |
| 37.2 | 2.414 | 47 |
| 43.3 | 2.091 | 25 |
| 48.7 | 1.870 | 44 |
| 67.2 | 1.394 | 33 |
| 71.3 | 1.322 | 24 |



Ta3Al3B: simulated powder XRD pattern (λ = 1.5418 Å (Cu Kα)), based on a crystal structure in Alexandria, relaxed with PBE.

Structural model:
```
Ta3Al3B
1.0
0.0000 5.9715 5.9715
5.9715 0.0000 5.9715
5.9715 5.9715 0.0000
Ta Al B
12 12 4
Direct
0.0641 0.0641 0.6859
0.0641 0.6859 0.0641
0.0641 0.6859 0.6859
0.3141 0.3141 0.9359
0.3141 0.9359 0.3141
0.3141 0.9359 0.9359
0.6859 0.0641 0.0641
0.6859 0.0641 0.6859
0.6859 0.6859 0.0641
0.9359 0.3141 0.3141
0.9359 0.3141 0.9359
0.9359 0.9359 0.3141
0.0000 0.5000 0.5000
0.2870 0.2870 0.2870
0.2870 0.2870 0.6391
0.2870 0.6391 0.2870
0.3609 0.7130 0.7130
0.5000 0.0000 0.5000
0.5000 0.5000 0.0000
0.5000 0.5000 0.5000
0.6391 0.2870 0.2870
0.7130 0.3609 0.7130
0.7130 0.7130 0.3609
0.7130 0.7130 0.7130
0.0000 0.0000 0.0000
0.0000 0.0000 0.5000
0.0000 0.5000 0.0000
0.5000 0.0000 0.0000
```

Largest 10 diffraction maxima, by angle, 10 to 80 degrees two-theta:
| 2θ/deg | d [Å] | I/Imax |
| --- | --- | --- |
| 12.8 | 6.895 | 56 |
| 29.9 | 2.986 | 41 |
| 32.7 | 2.740 | 44 |
| 36.9 | 2.438 | 71 |
| 39.2 | 2.298 | 100 |
| 42.8 | 2.111 | 22 |
| 54.9 | 1.672 | 23 |
| 63.8 | 1.459 | 16 |
| 66.4 | 1.407 | 59 |
| 79.9 | 1.200 | 17 |



Ta2AlB6: simulated powder XRD pattern (λ = 1.5418 Å (Cu Kα)), based on a crystal structure in Alexandria, relaxed with PBE.

Structural model:
```
Ta2AlB6
1.0
5.2961 0.0000 0.0000
-2.6480 4.5865 0.0000
0.0000 0.0000 3.3362
Ta Al B
2 1 6
Direct
0.3333 0.6667 0.0000
0.6667 0.3333 0.0000
0.0000 0.0000 0.0000
0.0000 0.3296 0.5000
0.0000 0.6704 0.5000
0.3296 0.0000 0.5000
0.3296 0.3296 0.5000
0.6704 0.0000 0.5000
0.6704 0.6704 0.5000
```

Largest 10 diffraction maxima, by angle, 10 to 80 degrees two-theta:
| 2θ/deg | d [Å] | I/Imax |
| --- | --- | --- |
| 19.4 | 4.587 | 54 |
| 26.7 | 3.336 | 41 |
| 33.2 | 2.698 | 30 |
| 33.9 | 2.648 | 79 |
| 43.6 | 2.074 | 100 |
| 60.2 | 1.538 | 11 |
| 60.6 | 1.529 | 21 |
| 66.2 | 1.411 | 24 |
| 67.4 | 1.390 | 20 |
| 77.6 | 1.231 | 19 |



Which formula does entry 4 have?
Y2AlBPt6